InGa3O6: simulated powder X-ray diffraction pattern (Cu Ka), based on a GGA-PBE-relaxed structure.

Top 6 peaks for 2θ = 10–80°, in order of falling intensity:
- 2θ = 33.79°, 2.653 Å, intensity 100
- 2θ = 29.31°, 3.047 Å, intensity 100
- 2θ = 36.76°, 2.445 Å, intensity 63
- 2θ = 30.19°, 2.960 Å, intensity 60
- 2θ = 29.95°, 2.983 Å, intensity 39
- 2θ = 36.49°, 2.462 Å, intensity 34

abc: 12.6143 3.1679 6.1293
angles: 90.00 105.01 90.00
Space group Cm (No. 8)
One atom of each set of equivalent atoms:
In: 0.0000 0.0000 0.0000 (multiplicity 2)
Ga: 0.0659 0.5000 0.5191 (multiplicity 2)
Ga: 0.2444 0.0000 0.8875 (multiplicity 2)
Ga: 0.3127 0.5000 0.4087 (multiplicity 2)
O: 0.0716 0.0000 0.3353 (multiplicity 2)
O: 0.0841 0.0000 0.7543 (multiplicity 2)
O: 0.2323 0.5000 0.6360 (multiplicity 2)
O: 0.2388 0.5000 0.0944 (multiplicity 2)
O: 0.3969 0.0000 0.9387 (multiplicity 2)
O: 0.3994 0.0000 0.4589 (multiplicity 2)

***

InGaSnO5: simulated powder X-ray diffraction pattern (Cu Ka), based on a GGA-PBE-relaxed structure.

Top 6 peaks for 2θ = 10–80°, in order of falling intensity:
- 2θ = 33.00°, 2.714 Å, intensity 100
- 2θ = 29.94°, 2.985 Å, intensity 77
- 2θ = 24.46°, 3.639 Å, intensity 72
- 2θ = 34.30°, 2.614 Å, intensity 62
- 2θ = 62.40°, 1.488 Å, intensity 39
- 2θ = 56.83°, 1.620 Å, intensity 35

abc: 11.0550 3.2602 12.0185
angles: 90.00 99.06 90.00
Space group P2/m (No. 10)
One atom of each set of equivalent atoms:
In: 0.1183 0.0000 0.1712 (multiplicity 2)
In: 0.1966 0.5000 0.4231 (multiplicity 2)
Ga: 0.0997 0.0000 0.6517 (multiplicity 2)
Ga: 0.4148 0.5000 0.2367 (multiplicity 2)
Sn: 0.1887 0.5000 0.9071 (multiplicity 2)
Sn: 0.5000 0.0000 0.0000 (multiplicity 1)
Sn: 0.5000 0.0000 0.5000 (multiplicity 1)
O: 0.0034 0.5000 0.8606 (multiplicity 2)
O: 0.0725 0.0000 0.3512 (multiplicity 2)
O: 0.1297 0.5000 0.5841 (multiplicity 2)
O: 0.1865 0.0000 0.0143 (multiplicity 2)
O: 0.1988 0.0000 0.7938 (multiplicity 2)
O: 0.2458 0.5000 0.2431 (multiplicity 2)
O: 0.3150 0.0000 0.4692 (multiplicity 2)
O: 0.3836 0.5000 0.9530 (multiplicity 2)
O: 0.4511 0.0000 0.1665 (multiplicity 2)
O: 0.4991 0.5000 0.3844 (multiplicity 2)

***

Zn2InGaO5: simulated powder X-ray diffraction pattern (Cu Ka), based on a GGA-PBE-relaxed structure.

Top 6 peaks for 2θ = 10–80°, in order of falling intensity:
- 2θ = 34.75°, 2.582 Å, intensity 100
- 2θ = 54.88°, 1.673 Å, intensity 42
- 2θ = 31.47°, 2.843 Å, intensity 37
- 2θ = 31.11°, 2.875 Å, intensity 36
- 2θ = 58.16°, 1.586 Å, intensity 31
- 2θ = 64.64°, 1.442 Å, intensity 27

abc: 3.3461 3.3461 22.7455
angles: 90.00 90.00 120.00
Space group P6_3/mmc (No. 194)
One atom of each set of equivalent atoms:
Zn: 0.3333 0.6667 0.1354 (multiplicity 4)
In: 0.0000 0.0000 0.0000 (multiplicity 2)
Ga: 0.0000 0.0000 0.2500 (multiplicity 2)
O: 0.0000 0.0000 0.1622 (multiplicity 4)
O: 0.3333 0.6667 0.0481 (multiplicity 4)
O: 0.3333 0.6667 0.2500 (multiplicity 2)

***

Zn3InGaO6: simulated powder X-ray diffraction pattern (Cu Ka), based on a GGA-PBE-relaxed structure.

Top 6 peaks for 2θ = 10–80°, in order of falling intensity:
- 2θ = 34.43°, 2.605 Å, intensity 100
- 2θ = 35.43°, 2.533 Å, intensity 93
- 2θ = 31.02°, 2.883 Å, intensity 83
- 2θ = 55.04°, 1.668 Å, intensity 69
- 2θ = 31.87°, 2.808 Å, intensity 57
- 2θ = 65.02°, 1.434 Å, intensity 42

abc: 3.3370 3.3370 42.1246
angles: 90.00 90.00 120.00
Space group R3m (No. 160, hexagonal axes)
One atom of each set of equivalent atoms:
Zn: 0.0000 0.0000 0.0000 (multiplicity 3)
Zn: 0.0000 0.0000 0.1246 (multiplicity 3)
Zn: 0.0000 0.0000 0.5199 (multiplicity 3)
In: 0.0000 0.0000 0.2598 (multiplicity 3)
Ga: 0.0000 0.0000 0.3961 (multiplicity 3)
O: 0.0000 0.0000 0.0632 (multiplicity 3)
O: 0.0000 0.0000 0.1721 (multiplicity 3)
O: 0.0000 0.0000 0.3486 (multiplicity 3)
O: 0.0000 0.0000 0.4436 (multiplicity 3)
O: 0.0000 0.0000 0.5672 (multiplicity 3)
O: 0.0000 0.0000 0.9528 (multiplicity 3)

***

InGaS3: simulated powder X-ray diffraction pattern (Cu Ka), based on a GGA-PBE-relaxed structure.

Top 6 peaks for 2θ = 10–80°, in order of falling intensity:
- 2θ = 26.04°, 3.422 Å, intensity 100
- 2θ = 17.81°, 4.979 Å, intensity 92
- 2θ = 45.94°, 1.976 Å, intensity 73
- 2θ = 15.71°, 5.640 Å, intensity 71
- 2θ = 29.18°, 3.060 Å, intensity 69
- 2θ = 55.35°, 1.660 Å, intensity 55

abc: 6.8436 6.8436 18.3627
angles: 90.00 90.00 120.00
Space group P6_1 (No. 169)
One atom of each set of equivalent atoms:
In: 0.0070 0.6812 0.0000 (multiplicity 6)
Ga: 0.0119 0.3403 0.1389 (multiplicity 6)
S: 0.0062 0.3051 0.0116 (multiplicity 6)
S: 0.0427 0.3561 0.6459 (multiplicity 6)
S: 0.0434 0.6654 0.8540 (multiplicity 6)

***

Please write out number 1 again, unchanged.
InGa3O6: simulated powder X-ray diffraction pattern (Cu Ka), based on a GGA-PBE-relaxed structure.

Top 6 peaks for 2θ = 10–80°, in order of falling intensity:
- 2θ = 33.79°, 2.653 Å, intensity 100
- 2θ = 29.31°, 3.047 Å, intensity 100
- 2θ = 36.76°, 2.445 Å, intensity 63
- 2θ = 30.19°, 2.960 Å, intensity 60
- 2θ = 29.95°, 2.983 Å, intensity 39
- 2θ = 36.49°, 2.462 Å, intensity 34

abc: 12.6143 3.1679 6.1293
angles: 90.00 105.01 90.00
Space group Cm (No. 8)
One atom of each set of equivalent atoms:
In: 0.0000 0.0000 0.0000 (multiplicity 2)
Ga: 0.0659 0.5000 0.5191 (multiplicity 2)
Ga: 0.2444 0.0000 0.8875 (multiplicity 2)
Ga: 0.3127 0.5000 0.4087 (multiplicity 2)
O: 0.0716 0.0000 0.3353 (multiplicity 2)
O: 0.0841 0.0000 0.7543 (multiplicity 2)
O: 0.2323 0.5000 0.6360 (multiplicity 2)
O: 0.2388 0.5000 0.0944 (multiplicity 2)
O: 0.3969 0.0000 0.9387 (multiplicity 2)
O: 0.3994 0.0000 0.4589 (multiplicity 2)